Starting from a cell relaxed with GGA-PBE, the powder diffractogram of Ba3Al9Ag2 was calculated for Cu Kα, 1.54184 Å.
Neutral-atom scattering factors, no anomalous dispersion.

```
data_Ba3Al9Ag2
_space_group_name_H-M_alt 'I m m m'
_space_group_IT_number 71
_space_group_name_Hall '-I 2 2'
_cell_length_a 4.7134
_cell_length_b 10.2738
_cell_length_c 13.7529
_cell_angle_alpha 90.00
_cell_angle_beta 90.00
_cell_angle_gamma 90.00
loop_
_atom_site_label
_atom_site_type_symbol
_atom_site_fract_x
_atom_site_fract_y
_atom_site_fract_z
Ba1 Ba 0.0000 0.0000 0.0000
Ba2 Ba 0.0000 0.0000 0.3022
Al1 Al 0.0000 0.2785 0.1402
Al2 Al 0.0000 0.3601 0.3381
Al3 Al 0.0000 0.5000 0.0000
Ag1 Ag 0.0000 0.2042 0.5000
```

Largest 10 diffraction maxima, by angle, 10° ≤ 2θ ≤ 90°:
h k l  Position (°2θ)  I_rel
1 1 0  20.73  37
1 2 1  26.47  16
1 2 3  32.34  100
0 3 3  32.64  31
1 1 4  33.42  17
0 4 0  34.92  29
2 0 0  38.19  25
0 0 6  39.31  13
2 3 3  51.09  17
0 6 0  53.58  15

=====

Starting from a cell relaxed with GGA-PBE, the powder diffractogram of Ba2AlCd4Ag3 was calculated for Cu Kα, 1.54184 Å.
Neutral-atom scattering factors, no anomalous dispersion.

```
data_Ba2AlCd4Ag3
_space_group_name_H-M_alt 'P -4 m 2'
_space_group_IT_number 115
_cell_length_a 4.8357
_cell_length_b 4.8357
_cell_length_c 11.6958
_cell_angle_alpha 90.00
_cell_angle_beta 90.00
_cell_angle_gamma 90.00
loop_
_space_group_symop_operation_xyz
'x,y,z'
'y,-x,-z'
'-x,-y,z'
'-y,x,-z'
'-x,y,z'
'-y,-x,-z'
'x,-y,z'
'y,x,-z'
loop_
_atom_site_label
_atom_site_type_symbol
_atom_site_fract_x
_atom_site_fract_y
_atom_site_fract_z
Ba1 Ba 0.0000 0.5000 0.2415
Al1 Al 0.5000 0.5000 0.0000
Cd1 Cd 0.0000 0.0000 0.5000
Cd2 Cd 0.0000 0.5000 0.8757
Cd3 Cd 0.5000 0.5000 0.5000
Ag1 Ag 0.0000 0.0000 0.0000
Ag2 Ag 0.0000 0.5000 0.6347
```

Largest 10 diffraction maxima, by angle, 10° ≤ 2θ ≤ 90°:
h k l  Position (°2θ)  I_rel
1 1 0  26.06  21
1 0 3  29.43  78
1 1 2  30.28  100
2 0 0  37.19  78
1 1 4  40.60  32
1 0 5  42.95  33
2 1 3  48.12  39
2 2 0  53.61  26
2 1 5  58.09  27
3 1 2  62.81  24

=====

Starting from a cell relaxed with GGA-PBE, the powder diffractogram of BaAlCuAgO5 was calculated for Cu Kα, 1.54184 Å.
Neutral-atom scattering factors, no anomalous dispersion.

```
data_BaAlCuAgO5
_space_group_name_H-M_alt 'P 1'
_space_group_IT_number 1
_cell_length_a 4.2224
_cell_length_b 4.5426
_cell_length_c 7.1137
_cell_angle_alpha 88.61
_cell_angle_beta 72.92
_cell_angle_gamma 89.07
loop_
_space_group_symop_operation_xyz
'x,y,z'
loop_
_atom_site_label
_atom_site_type_symbol
_atom_site_fract_x
_atom_site_fract_y
_atom_site_fract_z
Ba1 Ba 0.0000 0.0000 0.0000
Al1 Al 0.0631 0.0742 0.5026
Cu1 Cu 0.5784 0.4997 0.6774
Ag1 Ag 0.4177 0.4962 0.2552
O1 O 0.2555 0.2466 0.6614
O2 O 0.3550 0.9802 0.2726
O3 O 0.3652 0.5081 0.9519
O4 O 0.8327 0.8209 0.6791
O5 O 0.8368 0.3791 0.4224
```

Largest 10 diffraction maxima, by angle, 10° ≤ 2θ ≤ 90°:
h k l  Position (°2θ)  I_rel
0 1 1  23.33  32
1 0 -1  28.85  45
1 0 2  28.95  100
1 1 0  29.47  75
1 -1 0  29.75  100
0 1 2  32.58  52
0 1 -2  33.24  47
1 0 -2  39.35  29
0 2 0  39.73  71
2 -1 2  49.90  34

=====

Starting from a cell relaxed with GGA-PBE, the powder diffractogram of BaAlAg2F6 was calculated for Cu Kα, 1.54184 Å.
Neutral-atom scattering factors, no anomalous dispersion.

```
data_BaAlAg2F6
_space_group_name_H-M_alt 'P n n m'
_space_group_IT_number 58
_cell_length_a 5.9476
_cell_length_b 6.9273
_cell_length_c 7.5047
_cell_angle_alpha 90.00
_cell_angle_beta 90.00
_cell_angle_gamma 90.00
loop_
_space_group_symop_operation_xyz
'x,y,z'
'-x,-y,-z'
'-x,-y,z'
'x,y,-z'
'x+1/2,-y+1/2,-z+1/2'
'-x+1/2,y+1/2,z+1/2'
'-x+1/2,y+1/2,-z+1/2'
'x+1/2,-y+1/2,z+1/2'
loop_
_atom_site_label
_atom_site_type_symbol
_atom_site_fract_x
_atom_site_fract_y
_atom_site_fract_z
Ba1 Ba 0.0000 0.0000 0.0000
Al1 Al 0.0000 0.0000 0.5000
Ag1 Ag 0.0000 0.5000 0.3070
F1 F 0.1302 0.1484 0.3235
F2 F 0.2437 0.3506 0.0000
```

Largest 10 diffraction maxima, by angle, 10° ≤ 2θ ≤ 90°:
h k l  Position (°2θ)  I_rel
0 1 1  17.42  39
0 2 0  25.72  52
2 0 0  30.05  33
1 1 2  31.00  100
2 1 1  34.94  33
1 0 3  39.06  35
2 2 0  39.96  41
1 2 3  47.36  26
1 3 2  48.77  37
3 1 2  53.96  28

=====

Starting from a cell relaxed with GGA-PBE, the powder diffractogram of Ba2AlGaAg6 was calculated for Cu Kα, 1.54184 Å.
Neutral-atom scattering factors, no anomalous dispersion.

```
data_Ba2AlGaAg6
_space_group_name_H-M_alt 'I m m m'
_space_group_IT_number 71
_space_group_name_Hall '-I 2 2'
_cell_length_a 7.1178
_cell_length_b 7.3016
_cell_length_c 10.1963
_cell_angle_alpha 90.00
_cell_angle_beta 90.00
_cell_angle_gamma 90.00
loop_
_atom_site_label
_atom_site_type_symbol
_atom_site_fract_x
_atom_site_fract_y
_atom_site_fract_z
Ba1 Ba 0.0000 0.0000 0.2500
Al1 Al 0.0000 0.5000 0.0000
Ga1 Ga 0.0000 0.5000 0.5000
Ag1 Ag 0.0000 0.5000 0.2495
Ag2 Ag 0.2493 0.2504 0.0000
```

Largest 10 diffraction maxima, by angle, 10° ≤ 2θ ≤ 90°:
h k l  Position (°2θ)  I_rel
0 2 2  30.11  66
2 0 2  30.64  63
2 2 0  35.21  100
0 4 0  49.96  12
2 2 4  50.65  46
2 4 2  59.76  18
4 2 2  60.68  17
0 4 4  62.59  12
4 0 4  63.79  11
4 4 4  85.12  20

=====

Starting from a cell relaxed with GGA-PBE, the powder diffractogram of Ba3AlAg2O6 was calculated for Cu Kα, 1.54184 Å.
Neutral-atom scattering factors, no anomalous dispersion.

```
data_Ba3AlAg2O6
_space_group_name_H-M_alt 'P -3 m 1'
_space_group_IT_number 164
_space_group_name_Hall '-P 3 2"'
_cell_length_a 5.9939
_cell_length_b 5.9939
_cell_length_c 6.7310
_cell_angle_alpha 90.00
_cell_angle_beta 90.00
_cell_angle_gamma 120.00
loop_
_atom_site_label
_atom_site_type_symbol
_atom_site_fract_x
_atom_site_fract_y
_atom_site_fract_z
Ba1 Ba 0.0000 0.0000 0.0000
Ba2 Ba 0.3333 0.6667 0.6305
Al1 Al 0.0000 0.0000 0.5000
Ag1 Ag 0.3333 0.6667 0.1545
O1 O 0.1527 0.3055 0.3293
```

Largest 10 diffraction maxima, by angle, 10° ≤ 2θ ≤ 90°:
h k l  Position (°2θ)  I_rel
0 1 1  21.62  16
1 1 0  29.81  100
0 1 2  31.69  85
2 0 2  44.05  55
3 0 0  52.92  19
1 2 2  54.10  38
1 0 4  57.58  12
2 2 0  61.92  16
3 1 2  71.24  17
2 1 4  74.25  12

=====

Starting from a cell relaxed with GGA-PBE, the powder diffractogram of Ba2AlAg6Sn was calculated for Cu Kα, 1.54184 Å.
Neutral-atom scattering factors, no anomalous dispersion.

```
data_Ba2AlAg6Sn
_space_group_name_H-M_alt 'I m m m'
_space_group_IT_number 71
_space_group_name_Hall '-I 2 2'
_cell_length_a 7.3570
_cell_length_b 7.3852
_cell_length_c 10.4109
_cell_angle_alpha 90.00
_cell_angle_beta 90.00
_cell_angle_gamma 90.00
loop_
_atom_site_label
_atom_site_type_symbol
_atom_site_fract_x
_atom_site_fract_y
_atom_site_fract_z
Ba1 Ba 0.0000 0.0000 0.2499
Al1 Al 0.0000 0.5000 0.0000
Ag1 Ag 0.0000 0.5000 0.2396
Ag2 Ag 0.2398 0.2606 0.0000
Sn1 Sn 0.0000 0.5000 0.5000
```

Largest 10 diffraction maxima, by angle, 10° ≤ 2θ ≤ 90°:
h k l  Position (°2θ)  I_rel
1 1 2  24.16  15
2 0 2  29.70  100
2 2 0  34.43  95
0 4 0  49.36  11
4 0 0  49.51  55
2 4 2  58.69  13
4 2 2  58.83  26
0 4 4  61.59  11
4 0 4  61.76  11
4 4 4  82.89  19

=====

Starting from a cell relaxed with GGA-PBE, the powder diffractogram of Be2AlAg was calculated for Cu Kα, 1.54184 Å.
Neutral-atom scattering factors, no anomalous dispersion.

```
data_Be2AlAg
_space_group_name_H-M_alt 'C m m 2'
_space_group_IT_number 35
_cell_length_a 3.0295
_cell_length_b 4.4273
_cell_length_c 7.9146
_cell_angle_alpha 90.00
_cell_angle_beta 90.00
_cell_angle_gamma 90.00
loop_
_space_group_symop_operation_xyz
'x,y,z'
'-x,-y,z'
'-x,y,z'
'x,-y,z'
'x+1/2,y+1/2,z'
'-x+1/2,-y+1/2,z'
'-x+1/2,y+1/2,z'
'x+1/2,-y+1/2,z'
loop_
_atom_site_label
_atom_site_type_symbol
_atom_site_fract_x
_atom_site_fract_y
_atom_site_fract_z
Be1 Be 0.0000 0.0000 0.0000
Be2 Be 0.0000 0.5000 0.2014
Al1 Al 0.0000 0.5000 0.7539
Ag1 Ag 0.0000 0.0000 0.4520
```

Largest 10 diffraction maxima, by angle, 10° ≤ 2θ ≤ 90°:
h k l  Position (°2θ)  I_rel
0 0 1  11.18  100
0 0 2  22.47  18
0 0 3  33.98  14
1 1 0  35.92  10
1 1 1  37.73  32
0 2 0  40.76  11
0 2 1  42.40  8
1 1 2  42.78  34
1 1 3  50.28  7
0 2 3  54.08  7

=====

Starting from a cell relaxed with GGA-PBE, the powder diffractogram of Be2AlAg was calculated for Cu Kα, 1.54184 Å.
Neutral-atom scattering factors, no anomalous dispersion.

```
data_Be2AlAg
_space_group_name_H-M_alt 'C 1 m 1'
_space_group_IT_number 8
_cell_length_a 8.8877
_cell_length_b 2.8216
_cell_length_c 4.2919
_cell_angle_alpha 90.00
_cell_angle_beta 110.45
_cell_angle_gamma 90.00
loop_
_space_group_symop_operation_xyz
'x,y,z'
'x,-y,z'
'x+1/2,y+1/2,z'
'x+1/2,-y+1/2,z'
loop_
_atom_site_label
_atom_site_type_symbol
_atom_site_fract_x
_atom_site_fract_y
_atom_site_fract_z
Be1 Be 0.0000 0.0000 0.0000
Be2 Be 0.2085 0.5000 0.2774
Al1 Al 0.4683 0.0000 0.4673
Ag1 Ag 0.2448 0.0000 0.8152
```

Largest 10 diffraction maxima, by angle, 10° ≤ 2θ ≤ 90°:
h k l  Position (°2θ)  I_rel
2 0 0  21.34  84
0 0 1  22.10  92
2 0 -1  24.83  100
1 1 0  33.53  94
2 0 1  36.07  49
1 1 -1  38.29  41
2 0 -2  42.55  37
1 1 1  42.67  76
4 0 0  43.47  36
3 1 -1  45.81  93

=====

Starting from a cell relaxed with GGA-PBE, the powder diffractogram of Al2AgBi was calculated for Cu Kα, 1.54184 Å.
Neutral-atom scattering factors, no anomalous dispersion.

```
data_Al2AgBi
_space_group_name_H-M_alt 'R 3 m'
_space_group_IT_number 160
_space_group_name_Hall 'R 3 -2"'
_cell_length_a 4.3799
_cell_length_b 4.3799
_cell_length_c 16.5298
_cell_angle_alpha 90.00
_cell_angle_beta 90.00
_cell_angle_gamma 120.00
loop_
_atom_site_label
_atom_site_type_symbol
_atom_site_fract_x
_atom_site_fract_y
_atom_site_fract_z
Al1 Al 0.0000 0.0000 0.0000
Al2 Al 0.0000 0.0000 0.2192
Ag1 Ag 0.0000 0.0000 0.6182
Bi1 Bi 0.0000 0.0000 0.4394
```

Largest 10 diffraction maxima, by angle, 10° ≤ 2θ ≤ 90°:
h k l  Position (°2θ)  I_rel
1 0 1  24.07  100
0 1 2  25.84  37
1 0 4  32.03  38
0 0 6  32.50  21
0 1 5  36.04  72
1 1 0  41.22  58
1 0 7  45.23  17
1 1 6  53.45  31
2 0 5  55.89  20
1 2 5  71.76  19

=====

Starting from a cell relaxed with GGA-PBE, the powder diffractogram of AlAg3Bi3S8 was calculated for Cu Kα, 1.54184 Å.
Neutral-atom scattering factors, no anomalous dispersion.

```
data_AlAg3Bi3S8
_space_group_name_H-M_alt 'C 1 2/m 1'
_space_group_IT_number 12
_cell_length_a 13.4970
_cell_length_b 7.8587
_cell_length_c 7.8247
_cell_angle_alpha 90.00
_cell_angle_beta 124.96
_cell_angle_gamma 90.00
loop_
_space_group_symop_operation_xyz
'x,y,z'
'-x,-y,-z'
'-x,y,-z'
'x,-y,z'
'x+1/2,y+1/2,z'
'-x+1/2,-y+1/2,-z'
'-x+1/2,y+1/2,-z'
'x+1/2,-y+1/2,z'
loop_
_atom_site_label
_atom_site_type_symbol
_atom_site_fract_x
_atom_site_fract_y
_atom_site_fract_z
Al1 Al 0.0000 0.0000 0.0000
Ag1 Ag 0.0000 0.0000 0.5000
Ag2 Ag 0.2500 0.2500 0.0000
Bi1 Bi 0.0000 0.5000 0.0000
Bi2 Bi 0.2500 0.2500 0.5000
S1 S 0.0046 0.2199 0.7766
S2 S 0.2243 0.0000 0.2162
S3 S 0.2461 0.0000 0.7527
```

Largest 10 diffraction maxima, by angle, 10° ≤ 2θ ≤ 90°:
h k l  Position (°2θ)  I_rel
2 0 -1  13.92  16
2 0 0  16.00  29
3 1 -1  22.76  13
2 2 0  27.84  50
4 0 -2  28.05  16
4 0 0  32.32  100
2 2 2  46.22  35
6 2 -2  46.49  35
4 0 2  54.84  15
4 4 0  57.52  18

=====

Starting from a cell relaxed with GGA-PBE, the powder diffractogram of AlAg2BiSe4 was calculated for Cu Kα, 1.54184 Å.
Neutral-atom scattering factors, no anomalous dispersion.

```
data_AlAg2BiSe4
_space_group_name_H-M_alt 'P m n 21'
_space_group_IT_number 31
_cell_length_a 8.8952
_cell_length_b 7.4087
_cell_length_c 6.9638
_cell_angle_alpha 90.00
_cell_angle_beta 90.00
_cell_angle_gamma 90.00
loop_
_space_group_symop_operation_xyz
'x,y,z'
'-x+1/2,-y,z+1/2'
'-x,y,z'
'x+1/2,-y,z+1/2'
loop_
_atom_site_label
_atom_site_type_symbol
_atom_site_fract_x
_atom_site_fract_y
_atom_site_fract_z
Al1 Al 0.0000 0.1787 0.0000
Ag1 Ag 0.2462 0.6906 0.0152
Bi1 Bi 0.0000 0.8348 0.4912
Se1 Se 0.0000 0.1874 0.3514
Se2 Se 0.0000 0.8669 0.8961
Se3 Se 0.2180 0.3418 0.8911
```

Largest 10 diffraction maxima, by angle, 10° ≤ 2θ ≤ 90°:
h k l  Position (°2θ)  I_rel
2 1 0  23.33  100
0 2 0  24.02  60
0 0 2  25.58  96
2 1 1  26.65  91
2 1 2  34.89  38
4 0 0  40.57  47
2 3 0  41.84  97
2 1 3  45.76  87
0 2 3  46.15  38
2 3 2  49.69  53